The following is a simulated powder XRD pattern of V2Ni3O8. It was derived from a GGA+U-relaxed structure, using copper Kα.
Kinematic intensities with the Lorentz-polarization factor, no thermal factor.

Peak list (10 most intense, 2θ = 10–90°, in order of falling intensity)
| 2theta | d_spacing | I (rel.) |
| --- | --- | --- |
| 35.37 | 2.537 | 100.0 |
| 63.08 | 1.474 | 65.7 |
| 29.57 | 3.021 | 61.1 |
| 35.81 | 2.508 | 53.0 |
| 43.35 | 2.087 | 39.1 |
| 43.50 | 2.081 | 33.3 |
| 27.13 | 3.287 | 33.2 |
| 18.69 | 4.749 | 24.7 |
| 30.98 | 2.886 | 24.6 |
| 36.41 | 2.467 | 24.2 |

Cell and atoms:
Cell: 6.506 6.506 8.352 Å, 90.00 90.00 125.05°
Fractional positions:
1 V 0.123 0.877 0.881
2 V 0.377 0.623 0.381
3 V 0.623 0.377 0.619
4 V 0.877 0.123 0.119
5 Ni 0.000 0.000 0.500
6 Ni 0.119 0.381 0.750
7 Ni 0.381 0.119 0.250
8 Ni 0.500 0.500 0.000
9 Ni 0.619 0.881 0.750
10 Ni 0.881 0.619 0.250
11 O 0.000 0.000 0.255
12 O 0.000 0.000 0.745
13 O 0.116 0.353 0.998
14 O 0.147 0.384 0.502
15 O 0.248 0.752 0.271
16 O 0.252 0.748 0.771
17 O 0.353 0.116 0.002
18 O 0.384 0.147 0.498
19 O 0.500 0.500 0.245
20 O 0.500 0.500 0.755
21 O 0.616 0.853 0.502
22 O 0.647 0.884 0.998
23 O 0.748 0.252 0.229
24 O 0.752 0.248 0.729
25 O 0.853 0.616 0.498
26 O 0.884 0.647 0.002